Ce2YSc12: simulated X-ray powder pattern (Cu Kα (weighted mean of Kα1 and Kα2)), based on a structure optimized by DFT (GGA-PBE).
Peak positions follow from Bragg's law for the DFT cell and can differ from measured ones.

Principal peaks in the range 2θ from 10° to 90°, by angle:
two_theta, I/Imax, h k l
10.8, 22, 0 0 2
16.9, 23, 1 0 0
26.4, 77, 1 1 2
27.7, 89, 1 0 4
32.7, 87, 1 1 4
34.2, 100, 2 0 0
37.3, 26, 1 0 6
44.6, 48, 2 1 4
49.2, 34, 2 2 0
60.3, 28, 3 1 4

Structure:
```
Ce2YSc12
1.0
5.238 0.000 0.000
0.000 5.238 0.000
0.000 0.000 16.314
Ce Y Sc
2 1 12
Cartesian
0.000 0.000 4.064 Ce
0.000 0.000 12.250 Ce
0.000 0.000 0.000 Y
0.000 2.619 1.625 Sc
0.000 2.619 6.582 Sc
0.000 2.619 9.732 Sc
0.000 2.619 14.690 Sc
2.619 0.000 1.625 Sc
2.619 0.000 6.582 Sc
2.619 0.000 9.732 Sc
2.619 0.000 14.690 Sc
2.619 2.619 2.768 Sc
2.619 2.619 5.473 Sc
2.619 2.619 10.842 Sc
2.619 2.619 13.546 Sc
```